Computed powder diffractogram of RbMn3I9 for λ = 1.5418 Å (Cu Kα), from a DFT-relaxed cell (GGA-PBE, Alexandria).
Lines closer than 0.1° are merged.

Structure:
```
data_RbMn3I9
_space_group_name_H-M_alt 'C 1 c 1'
_space_group_IT_number 9
_cell_length_a 18.649
_cell_length_b 11.835
_cell_length_c 14.415
_cell_angle_alpha 90.00
_cell_angle_beta 120.94
_cell_angle_gamma 90.00
loop_
_space_group_symop_operation_xyz
'x,y,z'
'x,-y,z+1/2'
'x+1/2,y+1/2,z'
'x+1/2,-y+1/2,z+1/2'
loop_
_atom_site_label
_atom_site_type_symbol
_atom_site_fract_x
_atom_site_fract_y
_atom_site_fract_z
_atom_site_occupancy
Rb1 Rb 0.000 0.084 0.000 1
Mn1 Mn 0.078 0.436 0.908 1
Mn2 Mn 0.155 0.158 0.765 1
Mn3 Mn 0.298 0.407 0.693 1
I1 I 0.023 0.217 0.588 1
I2 I 0.172 0.059 0.298 1
I3 I 0.172 0.246 0.950 1
I4 I 0.185 0.387 0.480 1
I5 I 0.275 0.409 0.268 1
I6 I 0.298 0.199 0.764 1
I7 I 0.454 0.408 0.750 1
I8 I 0.469 0.010 0.214 1
I9 I 0.485 0.100 0.490 1
```

Main lines, low angle first (5° ≤ 2θ ≤ 70°):
| 2θ/deg | I (rel.) | (hkl) |
| --- | --- | --- |
| 17.1 | 63 | 3 1 -2 |
| 20.7 | 52 | 1 1 -3 |
| 22.2 | 100 | 2 0 2 |
| 23.5 | 88 | 1 3 -1 |
| 23.9 | 41 | 2 2 -3 |
| 25.8 | 45 | 4 0 -4 |
| 28.9 | 77 | 0 0 4 |
| 31.1 | 45 | 6 0 -4 |
| 31.2 | 63 | 3 3 1 |
| 40.9 | 45 | 7 3 -3 |